Record 1
Structure and simulated X-ray diffraction stick pattern of Tl2HgI4 (DFT lattice parameters and positions (PBE); copper Kα).
Intensities are scaled so that the largest is 100.

```
data_Tl2HgI4
_cell_length_a 7.9653
_cell_length_b 8.3019
_cell_length_c 9.4472
_cell_angle_alpha 90.00
_cell_angle_beta 107.67
_cell_angle_gamma 90.00
_symmetry_space_group_name_H-M 'P 1 21 1'
_symmetry_Int_Tables_number 4
_symmetry_space_group_name_Hall 'P 2yb'
loop_
_atom_site_label
_atom_site_type_symbol
_atom_site_fract_x
_atom_site_fract_y
_atom_site_fract_z
Tl1 Tl 0.2293 0.0000 0.0563
Tl2 Tl 0.2393 0.9804 0.5628
Hg1 Hg 0.2266 0.5411 0.8049
I1 I 0.0132 0.2622 0.7502
I2 I 0.0437 0.2880 0.2685
I3 I 0.4346 0.5898 0.6120
I4 I 0.4345 0.6019 0.1023
```

Peak list (8 most intense, 10 to 80 degrees two-theta, most intense first)
two_theta, d_spacing, I/Imax, hkl
27.90, 3.198, 100, 2 1 -2
28.08, 3.178, 98, 1 1 2
38.12, 2.361, 96, 1 0 -4
31.95, 2.801, 82, 2 2 0
29.24, 3.054, 67, 1 2 -2
25.88, 3.443, 51, 1 0 2
21.41, 4.151, 46, 0 2 0
22.44, 3.963, 45, 0 1 2

=====

Record 2
Structure and simulated X-ray diffraction stick pattern of LaGd2Sn5Pb2 (DFT lattice parameters and positions (PBE); copper Kα).
Intensities are scaled so that the largest is 100.

```
data_LaGd2Sn5Pb2
_cell_length_a 4.6023
_cell_length_b 25.6116
_cell_length_c 4.7208
_cell_angle_alpha 90.00
_cell_angle_beta 90.00
_cell_angle_gamma 90.00
_symmetry_space_group_name_H-M 'C m m m'
_symmetry_Int_Tables_number 65
_symmetry_space_group_name_Hall '-C 2 2'
loop_
_atom_site_label
_atom_site_type_symbol
_atom_site_fract_x
_atom_site_fract_y
_atom_site_fract_z
La1 La 0.0000 0.0000 0.0000
Gd1 Gd 0.0000 0.1894 0.0000
Sn1 Sn 0.0000 0.2912 0.5000
Sn2 Sn 0.0000 0.4016 0.0000
Sn3 Sn 0.0000 0.5000 0.5000
Pb1 Pb 0.0000 0.0999 0.5000
```

Peak list (8 most intense, 10 to 80 degrees two-theta, most intense first)
two_theta, d_spacing, I/Imax, hkl
32.30, 2.771, 100, 1 5 1
35.04, 2.561, 18, 0 10 0
38.13, 2.360, 17, 0 0 2
39.15, 2.301, 16, 2 0 0
65.26, 1.430, 14, 1 5 3
61.13, 1.516, 14, 1 15 1
66.65, 1.403, 13, 3 5 1
52.74, 1.736, 12, 0 10 2

=====

Record 3
Structure and simulated X-ray diffraction stick pattern of PrAlGaPdAu (DFT lattice parameters and positions (PBE); copper Kα).
Intensities are scaled so that the largest is 100.

```
data_PrAlGaPdAu
_cell_length_a 4.4238
_cell_length_b 4.4238
_cell_length_c 10.3788
_cell_angle_alpha 90.00
_cell_angle_beta 90.00
_cell_angle_gamma 90.00
_symmetry_space_group_name_H-M 'P 4/n m m'
_symmetry_Int_Tables_number 129
loop_
_symmetry_equiv_pos_as_xyz
'x,y,z'
'-x,-y,-z'
'-y+1/2,x,z'
'y+1/2,-x,-z'
'-x+1/2,-y+1/2,z'
'x+1/2,y+1/2,-z'
'y,-x+1/2,z'
'-y,x+1/2,-z'
'x+1/2,-y,-z'
'-x+1/2,y,z'
'-y,-x,-z'
'y,x,z'
'-x,y+1/2,-z'
'x,-y+1/2,z'
'y+1/2,x+1/2,-z'
'-y+1/2,-x+1/2,z'
loop_
_atom_site_label
_atom_site_type_symbol
_atom_site_fract_x
_atom_site_fract_y
_atom_site_fract_z
Pr1 Pr 0.2500 0.2500 0.2497
Al1 Al 0.2500 0.2500 0.6155
Ga1 Ga 0.2500 0.7500 0.0000
Pd1 Pd 0.2500 0.7500 0.5000
Au1 Au 0.2500 0.2500 0.8587
```

Peak list (8 most intense, 10 to 80 degrees two-theta, most intense first)
two_theta, d_spacing, I/Imax, hkl
33.45, 2.679, 100, 1 1 2
40.80, 2.212, 67, 2 0 0
32.87, 2.725, 52, 1 0 3
26.48, 3.367, 38, 1 0 2
48.44, 1.879, 33, 1 0 5
65.14, 1.432, 27, 2 1 5
53.35, 1.717, 27, 2 1 3
69.61, 1.351, 23, 3 1 2

=====

Record 4
Structure and simulated X-ray diffraction stick pattern of SmPd2O4 (DFT lattice parameters and positions (PBE); copper Kα).
Intensities are scaled so that the largest is 100.

```
data_SmPd2O4
_cell_length_a 8.2008
_cell_length_b 10.1532
_cell_length_c 5.8045
_cell_angle_alpha 90.00
_cell_angle_beta 134.79
_cell_angle_gamma 90.00
_symmetry_space_group_name_H-M 'C 1 2/c 1'
_symmetry_Int_Tables_number 15
_symmetry_space_group_name_Hall '-C 2yc'
loop_
_atom_site_label
_atom_site_type_symbol
_atom_site_fract_x
_atom_site_fract_y
_atom_site_fract_z
Sm1 Sm 0.0000 0.1251 0.2500
Pd1 Pd 0.0000 0.5000 0.0000
Pd2 Pd 0.2500 0.2500 0.0000
O1 O 0.1503 0.3228 0.5941
O2 O 0.1937 0.0728 0.7923
```

Peak list (8 most intense, 10 to 80 degrees two-theta, most intense first)
two_theta, d_spacing, I/Imax, hkl
35.60, 2.522, 100, 1 1 -2
30.57, 2.925, 61, 1 3 0
35.71, 2.514, 52, 3 1 -1
27.93, 3.194, 40, 2 2 -1
47.42, 1.917, 26, 1 5 -1
57.81, 1.595, 25, 4 4 -2
57.63, 1.599, 18, 0 4 2
58.05, 1.589, 12, 5 1 -2